Starting from a cell relaxed with PBE+U, the X-ray diffraction stick pattern of BaCr2AsO10 was computed for Cu Ka.
Peak positions follow from Bragg's law for the DFT cell and can differ from measured ones.

Structure:
a b c (Å): 7.8595 8.0733 8.2069
angles (deg): 116.79 91.59 100.51
Sites, in units of the cell vectors:
1 Ba 0.2451 0.3590 0.2941
2 Ba 0.7549 0.6410 0.7059
3 Cr 0.0646 0.7768 0.1961
4 Cr 0.3000 0.8860 0.7416
5 Cr 0.7000 0.1140 0.2584
6 Cr 0.9354 0.2232 0.8039
7 As 0.3430 0.2844 0.7377
8 As 0.6570 0.7156 0.2623
9 O 0.0097 0.6955 0.9763
10 O 0.1217 0.2931 0.7076
11 O 0.1253 0.0083 0.2929
12 O 0.1558 0.6913 0.6062
13 O 0.2202 0.6840 0.2323
14 O 0.2263 0.0034 0.9353
15 O 0.3402 0.0392 0.6331
16 O 0.4083 0.3684 0.9693
17 O 0.4417 0.3853 0.6169
18 O 0.4813 0.8319 0.7799
19 O 0.5187 0.1681 0.2201
20 O 0.5583 0.6147 0.3831
21 O 0.5917 0.6316 0.0307
22 O 0.6598 0.9608 0.3669
23 O 0.7737 0.9966 0.0647
24 O 0.7798 0.3160 0.7677
25 O 0.8442 0.3087 0.3938
26 O 0.8747 0.9917 0.7071
27 O 0.8783 0.7069 0.2924
28 O 0.9903 0.3045 0.0237

Principal peaks in the range 10° ≤ 2θ ≤ 80°, in order of falling intensity:
Position (°2θ)	d [Å]	I_rel	index
24.5	3.634	100	0 0 2
25.5	3.498	86	1 -2 0
24.8	3.584	82	2 0 -1
15.1	5.859	40	1 -1 0
29.4	3.040	39	1 2 -2
36.3	2.476	34	3 -1 1